Record 1
Diffraction record for PmDy3Y12. The PXRD pattern is theoretical, not measured: it uses a DFT-relaxed cell (GGA-PBE, Alexandria) and CuKα.
Lines closer than 0.1° are merged.

Principal peaks in the range 2θ = 10–80°, low angle first:
| 2θ/deg | intensity |
| --- | --- |
| 17.6 | 6 |
| 24.9 | 6 |
| 30.7 | 100 |
| 35.5 | 50 |
| 39.9 | 4 |
| 43.9 | 3 |
| 51.2 | 35 |
| 60.8 | 41 |
| 63.8 | 12 |
| 75.3 | 5 |

a b c (Å): 5.051 5.051 20.206
angles (deg): 90.00 90.00 90.00
Sites, in units of the cell vectors:
Pm 0.000 0.000 0.000
Dy 0.000 0.000 0.251
Dy 0.000 0.000 0.500
Dy 0.000 0.000 0.749
Y 0.000 0.500 0.126
Y 0.000 0.500 0.375
Y 0.000 0.500 0.625
Y 0.000 0.500 0.874
Y 0.500 0.000 0.126
Y 0.500 0.000 0.375
Y 0.500 0.000 0.625
Y 0.500 0.000 0.874
Y 0.500 0.500 0.000
Y 0.500 0.500 0.251
Y 0.500 0.500 0.500
Y 0.500 0.500 0.749



Record 2
Diffraction record for Pm5DyY3. The PXRD pattern is theoretical, not measured: it uses a DFT-relaxed cell (GGA-PBE, Alexandria) and CuKα.
Lines closer than 0.1° are merged.

Principal peaks in the range 2θ = 10–80°, low angle first:
| 2θ/deg | intensity |
| --- | --- |
| 20.1 | 17 |
| 28.8 | 13 |
| 30.7 | 100 |
| 30.9 | 46 |
| 31.0 | 74 |
| 31.9 | 16 |
| 32.8 | 25 |
| 33.0 | 20 |
| 35.2 | 26 |
| 54.8 | 25 |

a b c (Å): 8.887 8.887 11.650
angles (deg): 108.67 108.67 44.87
Sites, in units of the cell vectors:
Pm 0.107 0.113 0.549
Pm 0.113 0.107 0.049
Pm 0.185 0.815 0.750
Pm 0.238 0.419 0.652
Pm 0.419 0.238 0.152
Pm 0.581 0.762 0.848
Pm 0.762 0.581 0.348
Pm 0.815 0.185 0.250
Pm 0.887 0.893 0.951
Pm 0.893 0.887 0.451
Dy 0.262 0.738 0.250
Dy 0.738 0.262 0.750
Y 0.141 0.338 0.870
Y 0.338 0.141 0.370
Y 0.500 0.500 0.000
Y 0.500 0.500 0.500
Y 0.662 0.859 0.630
Y 0.859 0.662 0.130



Record 3
Diffraction record for Pm19Dy4Y6. The PXRD pattern is theoretical, not measured: it uses a DFT-relaxed cell (GGA-PBE, Alexandria) and CuKα.
Lines closer than 0.1° are merged.

Principal peaks in the range 2θ = 10–80°, low angle first:
| 2θ/deg | intensity |
| --- | --- |
| 26.4 | 33 |
| 28.2 | 50 |
| 30.0 | 100 |
| 33.2 | 19 |
| 34.8 | 32 |
| 36.2 | 53 |
| 51.1 | 17 |
| 53.2 | 24 |
| 59.4 | 22 |
| 60.4 | 18 |

a b c (Å): 10.951 10.951 10.951
angles (deg): 109.47 109.47 109.47
Sites, in units of the cell vectors:
Pm 0.000 0.000 0.000
Pm 0.000 0.257 0.257
Pm 0.000 0.743 0.743
Pm 0.023 0.804 0.344
Pm 0.196 0.219 0.540
Pm 0.219 0.540 0.196
Pm 0.257 0.000 0.257
Pm 0.257 0.257 0.000
Pm 0.320 0.781 0.977
Pm 0.344 0.023 0.804
Pm 0.460 0.680 0.656
Pm 0.540 0.196 0.219
Pm 0.656 0.460 0.680
Pm 0.680 0.656 0.460
Pm 0.743 0.000 0.743
Pm 0.743 0.743 0.000
Pm 0.781 0.977 0.320
Pm 0.804 0.344 0.023
Pm 0.977 0.320 0.781
Dy 0.000 0.000 0.638
Dy 0.000 0.638 0.000
Dy 0.362 0.362 0.362
Dy 0.638 0.000 0.000
Y 0.126 0.626 0.500
Y 0.374 0.500 0.874
Y 0.500 0.126 0.626
Y 0.500 0.874 0.374
Y 0.626 0.500 0.126
Y 0.874 0.374 0.500